This entry pairs a crystal structure of Ac3Sn2Hg9 with its computed PXRD pattern. Radiation: λ = 1.5418 Å (Cu Kα). Structure: DFT lattice parameters and positions (GGA-PBE).
Lines closer than 0.1° are merged.

```
data_Ac3Sn2Hg9
_cell_length_a 15.1054
_cell_length_b 10.9180
_cell_length_c 4.9835
_cell_angle_alpha 90.00
_cell_angle_beta 108.66
_cell_angle_gamma 90.00
_symmetry_space_group_name_H-M 'C 1 2/m 1'
_symmetry_Int_Tables_number 12
_symmetry_space_group_name_Hall '-C 2y'
loop_
_atom_site_label
_atom_site_fract_x
_atom_site_fract_y
_atom_site_fract_z
Ac1 0.0000 0.0000 0.0000
Ac2 0.1973 0.5000 0.6988
Sn1 0.0000 0.3075 0.5000
Hg1 0.0000 0.5000 0.0000
Hg2 0.1451 0.2780 0.1477
Hg3 0.1562 0.1307 0.6600
```

Peak list (12 most intense, 15 to 90 degrees two-theta, most intense first)
(2 2 1), 2θ 30.56, intensity 100; (4 2 -1), 2θ 30.80, intensity 98; (2 0 -2), 2θ 36.05, intensity 96; (1 3 -1), 2θ 30.41, intensity 63; (6 0 0), 2θ 37.71, intensity 51; (2 4 -1), 2θ 38.12, intensity 50; (4 2 0), 2θ 29.86, intensity 45; (8 4 -1), 2θ 59.63, intensity 36; (1 3 1), 2θ 32.86, intensity 34; (3 3 0), 2θ 30.90, intensity 27; (6 4 1), 2θ 59.30, intensity 26; (0 2 3), 2θ 61.32, intensity 24

This entry pairs a crystal structure of Ac3Sn4Hg4 with its computed PXRD pattern. Radiation: λ = 1.5418 Å (Cu Kα). Structure: DFT lattice parameters and positions (GGA-PBE).
Lines closer than 0.1° are merged.

```
data_Ac3Sn4Hg4
_cell_length_a 4.6123
_cell_length_b 5.0024
_cell_length_c 28.7769
_cell_angle_alpha 90.00
_cell_angle_beta 90.00
_cell_angle_gamma 90.00
_symmetry_space_group_name_H-M 'I m m m'
_symmetry_Int_Tables_number 71
_symmetry_space_group_name_Hall '-I 2 2'
loop_
_atom_site_label
_atom_site_fract_x
_atom_site_fract_y
_atom_site_fract_z
Ac1 0.0000 0.0000 0.0000
Ac2 0.0000 0.5000 0.1456
Sn1 0.0000 0.0000 0.4503
Sn2 0.0000 0.5000 0.3093
Hg1 0.0000 0.0000 0.2542
Hg2 0.0000 0.5000 0.4061
```

Peak list (12 most intense, 15 to 90 degrees two-theta, most intense first)
(1 1 4), 2θ 29.11, intensity 100; (0 2 0), 2θ 35.90, intensity 22; (0 1 11), 2θ 38.85, intensity 21; (2 0 0), 2θ 39.06, intensity 17; (1 2 7), 2θ 46.86, intensity 17; (2 1 11), 2θ 56.27, intensity 15; (2 2 0), 2θ 54.09, intensity 14; (0 0 20), 2θ 64.75, intensity 14; (1 3 4), 2θ 60.42, intensity 9; (0 2 20), 2θ 76.33, intensity 8; (0 1 9), 2θ 33.26, intensity 7; (1 1 16), 2θ 58.05, intensity 6